Record 1
This entry pairs a crystal structure of Li9Mn5Si2O16 with its calculated PXRD pattern. Radiation: Cu Kα (λ = 1.5418 Å). Structure: a cell relaxed with PBE+U.
No peak broadening, texture or thermal motion is included.

Atomic structure:
```
Li9Mn5Si2O16
1.0
5.075 0.000 0.000
0.456 5.329 0.000
1.881 0.262 10.781
Li Mn Si O
9 5 2 16
Direct
0.000 0.000 0.000
0.065 0.753 0.436
0.182 0.248 0.309
0.332 0.715 0.183
0.409 0.270 0.058
0.591 0.730 0.942
0.668 0.285 0.817
0.818 0.752 0.691
0.935 0.247 0.564
0.245 0.002 0.758
0.370 0.502 0.628
0.500 0.000 0.500
0.630 0.498 0.372
0.755 0.998 0.242
0.121 0.503 0.879
0.879 0.497 0.121
0.042 0.186 0.151
0.042 0.394 0.734
0.170 0.890 0.597
0.188 0.596 0.028
0.295 0.391 0.470
0.300 0.190 0.898
0.421 0.887 0.342
0.434 0.611 0.791
0.566 0.389 0.209
0.579 0.113 0.658
0.700 0.810 0.102
0.705 0.609 0.530
0.812 0.404 0.972
0.830 0.110 0.403
0.958 0.606 0.266
0.958 0.814 0.849
```

Most intense lines, 10 to 90 degrees two-theta, low angle first:
2θ = 18.31°, rel. 100, hkl 1 0 1; 2θ = 33.65°, rel. 14, hkl 0 2 0; 2θ = 36.89°, rel. 10, hkl 1 1 -3; 2θ = 37.03°, rel. 15, hkl 0 1 4; 2θ = 40.04°, rel. 37, hkl 1 -2 1; 2θ = 44.92°, rel. 26, hkl 2 1 -2; 2θ = 45.23°, rel. 26, hkl 1 1 5; 2θ = 61.73°, rel. 15, hkl 1 3 -3; 2θ = 61.87°, rel. 8, hkl 0 3 4; 2θ = 66.53°, rel. 9, hkl 1 0 -7

---

Record 2
This entry pairs a crystal structure of Li2MnSi3O8 with its calculated PXRD pattern. Radiation: Cu Kα (λ = 1.5418 Å). Structure: a cell relaxed with PBE+U.
No peak broadening, texture or thermal motion is included.

Atomic structure:
```
Li2MnSi3O8
1.0
5.271 0.000 0.000
0.000 9.807 0.000
-0.139 0.000 7.045
Li Mn Si O
4 2 6 16
Direct
0.059 0.000 0.249
0.388 0.245 0.287
0.612 0.745 0.713
0.941 0.500 0.751
0.102 0.910 0.732
0.898 0.410 0.268
0.025 0.183 0.966
0.398 0.503 0.471
0.484 0.773 0.268
0.516 0.273 0.732
0.602 0.003 0.529
0.975 0.683 0.034
0.034 0.020 0.968
0.055 0.226 0.189
0.099 0.485 0.503
0.245 0.742 0.127
0.247 0.254 0.835
0.449 0.935 0.336
0.480 0.670 0.461
0.490 0.924 0.710
0.510 0.424 0.290
0.520 0.170 0.539
0.551 0.435 0.664
0.753 0.754 0.165
0.755 0.242 0.873
0.901 0.985 0.497
0.945 0.726 0.811
0.966 0.520 0.032
```

Most intense lines, 10 to 90 degrees two-theta, low angle first:
2θ = 15.49°, rel. 94, hkl 0 1 1; 2θ = 20.85°, rel. 49, hkl 1 0 -1; 2θ = 21.25°, rel. 96, hkl 1 0 1; 2θ = 22.09°, rel. 100, hkl 0 2 1; 2θ = 22.76°, rel. 87, hkl 1 1 -1; 2θ = 23.13°, rel. 60, hkl 1 1 1; 2θ = 27.74°, rel. 44, hkl 1 2 -1; 2θ = 30.14°, rel. 57, hkl 0 3 1; 2θ = 31.27°, rel. 79, hkl 0 2 2; 2θ = 36.65°, rel. 43, hkl 0 4 0